Structure and calculated powder XRD pattern of NaCdAu2 (a DFT-relaxed cell (PBE, Alexandria); Cu Kα (λ = 1.5418 Å)).

Structure:
```
data_NaCdAu2
_chemical_formula_sum 'Na2 Cd2 Au4'
_cell_length_a 5.005
_cell_length_b 6.427
_cell_length_c 5.017
_cell_angle_alpha 90.00
_cell_angle_beta 99.05
_cell_angle_gamma 90.00
_space_group_name_H-M_alt 'P 1 21/m 1'
_space_group_IT_number 11
loop_
_space_group_symop_operation_xyz
'x,y,z'
'-x,-y,-z'
'-x,y+1/2,-z'
'x,-y+1/2,z'
loop_
_atom_site_label
_atom_site_type_symbol
_atom_site_fract_x
_atom_site_fract_y
_atom_site_fract_z
Na1 Na 0.226 0.250 0.274
Cd1 Cd 0.224 0.750 0.276
Au1 Au 0.279 0.000 0.778
```

Largest 10 diffraction maxima, in order of rising 2θ, 5 to 70 degrees two-theta:
2theta  I/Imax  (hkl)
23.34  38  1 0 -1
27.42  20  1 0 1
27.76  24  0 2 0
36.30  92  0 0 2
36.57  100  1 2 -1
39.41  76  1 2 1
46.31  22  0 2 2
47.72  22  2 0 -2
63.48  22  1 2 -3
69.79  30  0 4 2